This entry pairs a crystal structure of K3Tl2Pb4 with its theoretical powder X-ray diffraction pattern. Radiation: a wavelength of 1.5418 Å. Structure: a crystal structure in Alexandria, relaxed with GGA-PBE.
Neutral-atom scattering factors, no anomalous dispersion.

Largest 8 diffraction maxima, in order of rising 2θ, 2θ from 15° to 90°:
29.50 deg, I 81.4, (-1 2 1)
29.87 deg, I 100.0, (1 1 -2)
32.72 deg, I 35.7, (0 0 3)
35.16 deg, I 33.0, (2 -1 0)
35.30 deg, I 19.3, (0 3 -1)
36.81 deg, I 36.0, (1 2 -2)
39.58 deg, I 22.6, (1 2 1)
48.78 deg, I 23.5, (-2 1 3)

```
data_K3Tl2Pb4
_chemical_formula_sum 'K3 Tl2 Pb4'
_cell_length_a 5.1049
_cell_length_b 8.0422
_cell_length_c 8.5508
_cell_angle_alpha 105.33
_cell_angle_beta 90.06
_cell_angle_gamma 108.46
_symmetry_space_group_name_H-M 'P -1'
_symmetry_Int_Tables_number 2
loop_
_symmetry_equiv_pos_as_xyz
'x,y,z'
'-x,-y,-z'
loop_
_atom_site_label
_atom_site_type_symbol
_atom_site_fract_x
_atom_site_fract_y
_atom_site_fract_z
K1 K 0.0000 0.0000 0.0000
K2 K 0.4394 0.8794 0.6510
Tl1 Tl 0.2189 0.4371 0.3237
Pb1 Pb 0.1492 0.2974 0.6945
Pb2 Pb 0.3238 0.6474 0.0109
```

---

This entry pairs a crystal structure of KTl2Pb6 with its theoretical powder X-ray diffraction pattern. Radiation: a wavelength of 1.5418 Å. Structure: a crystal structure in Alexandria, relaxed with GGA-PBE.
Neutral-atom scattering factors, no anomalous dispersion.

Largest 8 diffraction maxima, in order of rising 2θ, 2θ from 15° to 90°:
29.06 deg, I 94.3, (1 1 2)
33.37 deg, I 100.0, (1 1 3)
35.85 deg, I 64.1, (2 0 0)
36.37 deg, I 23.1, (0 0 5)
51.60 deg, I 23.1, (2 2 0)
51.99 deg, I 34.1, (2 0 5)
60.31 deg, I 25.7, (3 1 2)
62.85 deg, I 33.8, (3 1 3)

```
data_KTl2Pb6
_chemical_formula_sum 'K1 Tl2 Pb6'
_cell_length_a 5.0098
_cell_length_b 5.0098
_cell_length_c 12.3519
_cell_angle_alpha 90.00
_cell_angle_beta 90.00
_cell_angle_gamma 90.00
_symmetry_space_group_name_H-M 'P 4/m m m'
_symmetry_Int_Tables_number 123
_symmetry_space_group_name_Hall '-P 4 2'
loop_
_atom_site_label
_atom_site_type_symbol
_atom_site_fract_x
_atom_site_fract_y
_atom_site_fract_z
K1 K 0.0000 0.0000 0.0000
Tl1 Tl 0.5000 0.5000 0.1279
Pb1 Pb 0.0000 0.0000 0.5000
Pb2 Pb 0.0000 0.5000 0.3013
Pb3 Pb 0.5000 0.5000 0.5000
```

---

This entry pairs a crystal structure of KTl8Pb2 with its theoretical powder X-ray diffraction pattern. Radiation: a wavelength of 1.5418 Å. Structure: a crystal structure in Alexandria, relaxed with GGA-PBE.
Neutral-atom scattering factors, no anomalous dispersion.

Largest 8 diffraction maxima, in order of rising 2θ, 2θ from 15° to 90°:
27.46 deg, I 31.2, (2 2 1)
31.40 deg, I 100.0, (0 4 1)
31.73 deg, I 74.2, (3 1 1)
32.95 deg, I 45.7, (3 3 0)
33.36 deg, I 45.4, (0 0 2)
47.67 deg, I 19.3, (3 3 2)
57.66 deg, I 22.2, (3 7 -1)
58.39 deg, I 17.7, (0 4 3)

```
data_KTl8Pb2
_chemical_formula_sum 'K2 Tl16 Pb4'
_cell_length_a 10.2582
_cell_length_b 13.4436
_cell_length_c 5.3722
_cell_angle_alpha 90.00
_cell_angle_beta 90.19
_cell_angle_gamma 90.00
_symmetry_space_group_name_H-M 'C 1 2/m 1'
_symmetry_Int_Tables_number 12
loop_
_symmetry_equiv_pos_as_xyz
'x,y,z'
'-x,-y,-z'
'-x,y,-z'
'x,-y,z'
'x+1/2,y+1/2,z'
'-x+1/2,-y+1/2,-z'
'-x+1/2,y+1/2,-z'
'x+1/2,-y+1/2,z'
loop_
_atom_site_label
_atom_site_type_symbol
_atom_site_fract_x
_atom_site_fract_y
_atom_site_fract_z
K1 K 0.0000 0.0000 0.0000
Tl1 Tl 0.0000 0.2569 0.0000
Tl2 Tl 0.1641 0.5000 0.9998
Tl3 Tl 0.1767 0.1394 0.5010
Pb1 Pb 0.0000 0.3810 0.5000
```

---

This entry pairs a crystal structure of K2Tl10Pb with its theoretical powder X-ray diffraction pattern. Radiation: a wavelength of 1.5418 Å. Structure: a crystal structure in Alexandria, relaxed with GGA-PBE.
Neutral-atom scattering factors, no anomalous dispersion.

Largest 8 diffraction maxima, in order of rising 2θ, 2θ from 15° to 90°:
30.69 deg, I 93.7, (2 1 2)
31.16 deg, I 100.0, (4 1 0)
33.35 deg, I 72.7, (4 2 0)
33.87 deg, I 77.2, (1 3 2)
35.09 deg, I 53.2, (1 5 0)
35.72 deg, I 43.1, (3 4 0)
38.59 deg, I 54.2, (1 4 2)
64.99 deg, I 38.8, (2 8 2)

```
data_K2Tl10Pb
_chemical_formula_sum 'K4 Tl20 Pb2'
_cell_length_a 11.7629
_cell_length_b 13.0983
_cell_length_c 6.9318
_cell_angle_alpha 90.00
_cell_angle_beta 90.00
_cell_angle_gamma 90.00
_symmetry_space_group_name_H-M 'P b a m'
_symmetry_Int_Tables_number 55
loop_
_symmetry_equiv_pos_as_xyz
'x,y,z'
'-x,-y,-z'
'-x,-y,z'
'x,y,-z'
'x+1/2,-y+1/2,-z'
'-x+1/2,y+1/2,z'
'-x+1/2,y+1/2,-z'
'x+1/2,-y+1/2,z'
loop_
_atom_site_label
_atom_site_type_symbol
_atom_site_fract_x
_atom_site_fract_y
_atom_site_fract_z
K1 K 0.1282 0.1264 0.0000
Tl1 Tl 0.0362 0.8815 0.5000
Tl2 Tl 0.0894 0.6895 0.2324
Tl3 Tl 0.1777 0.3018 0.5000
Tl4 Tl 0.2322 0.0509 0.5000
Pb1 Pb 0.0000 0.5000 0.5000
```

---

This entry pairs a crystal structure of K2TlPb with its theoretical powder X-ray diffraction pattern. Radiation: a wavelength of 1.5418 Å. Structure: a crystal structure in Alexandria, relaxed with GGA-PBE.
Neutral-atom scattering factors, no anomalous dispersion.

Largest 8 diffraction maxima, in order of rising 2θ, 2θ from 15° to 90°:
15.49 deg, I 78.3, (0 0 1)
16.01 deg, I 88.9, (2 0 -1)
28.14 deg, I 37.5, (4 0 0)
28.44 deg, I 62.6, (2 0 -2)
30.16 deg, I 100.0, (1 1 1)
30.72 deg, I 87.6, (3 1 -1)
31.20 deg, I 57.7, (3 1 0)
51.08 deg, I 28.3, (1 1 -3)

```
data_K2TlPb
_chemical_formula_sum 'K4 Tl2 Pb2'
_cell_length_a 13.9271
_cell_length_b 3.9013
_cell_length_c 6.2825
_cell_angle_alpha 90.00
_cell_angle_beta 114.40
_cell_angle_gamma 90.00
_symmetry_space_group_name_H-M 'C 1 m 1'
_symmetry_Int_Tables_number 8
loop_
_symmetry_equiv_pos_as_xyz
'x,y,z'
'x,-y,z'
'x+1/2,y+1/2,z'
'x+1/2,-y+1/2,z'
loop_
_atom_site_label
_atom_site_type_symbol
_atom_site_fract_x
_atom_site_fract_y
_atom_site_fract_z
K1 K 0.0000 0.0000 0.0000
K2 K 0.2003 0.0000 0.6870
Tl1 Tl 0.4484 0.0000 0.4534
Pb1 Pb 0.2564 0.5000 0.2379
```

---

This entry pairs a crystal structure of KTl9Pb3 with its theoretical powder X-ray diffraction pattern. Radiation: a wavelength of 1.5418 Å. Structure: a crystal structure in Alexandria, relaxed with GGA-PBE.
Neutral-atom scattering factors, no anomalous dispersion.

Largest 8 diffraction maxima, in order of rising 2θ, 2θ from 15° to 90°:
15.48 deg, I 49.4, (0 2 1)
31.03 deg, I 47.5, (1 5 0)
31.23 deg, I 100.0, (0 4 2)
31.36 deg, I 62.2, (2 2 -2)
34.76 deg, I 36.5, (0 6 1)
34.98 deg, I 54.8, (2 4 -1)
35.15 deg, I 58.9, (2 0 1)
35.24 deg, I 62.3, (2 0 -3)

```
data_KTl9Pb3
_chemical_formula_sum 'K2 Tl18 Pb6'
_cell_length_a 6.5883
_cell_length_b 16.3506
_cell_length_c 8.6842
_cell_angle_alpha 90.00
_cell_angle_beta 112.11
_cell_angle_gamma 90.00
_symmetry_space_group_name_H-M 'C 1 2/m 1'
_symmetry_Int_Tables_number 12
loop_
_symmetry_equiv_pos_as_xyz
'x,y,z'
'-x,-y,-z'
'-x,y,-z'
'x,-y,z'
'x+1/2,y+1/2,z'
'-x+1/2,-y+1/2,-z'
'-x+1/2,y+1/2,-z'
'x+1/2,-y+1/2,z'
loop_
_atom_site_label
_atom_site_type_symbol
_atom_site_fract_x
_atom_site_fract_y
_atom_site_fract_z
K1 K 0.0000 0.0000 0.0000
Tl1 Tl 0.0000 0.5000 0.5000
Tl2 Tl 0.1049 0.3940 0.2110
Tl3 Tl 0.1737 0.1786 0.3551
Pb1 Pb 0.0000 0.0000 0.5000
Pb2 Pb 0.2500 0.2500 0.0000
```

---

This entry pairs a crystal structure of KTl4Pb15 with its theoretical powder X-ray diffraction pattern. Radiation: a wavelength of 1.5418 Å. Structure: a crystal structure in Alexandria, relaxed with GGA-PBE.
Neutral-atom scattering factors, no anomalous dispersion.

Largest 8 diffraction maxima, in order of rising 2θ, 2θ from 15° to 90°:
30.86 deg, I 100.0, (1 1 5)
35.71 deg, I 34.8, (2 0 0)
35.95 deg, I 16.8, (0 0 10)
51.39 deg, I 12.4, (2 2 0)
51.57 deg, I 24.3, (2 0 10)
61.16 deg, I 29.7, (3 1 5)
61.48 deg, I 14.1, (1 1 15)
64.31 deg, I 12.6, (2 2 10)

```
data_KTl4Pb15
_chemical_formula_sum 'K1 Tl4 Pb15'
_cell_length_a 5.0291
_cell_length_b 5.0291
_cell_length_c 24.9813
_cell_angle_alpha 90.00
_cell_angle_beta 90.00
_cell_angle_gamma 90.00
_symmetry_space_group_name_H-M 'P 4/m m m'
_symmetry_Int_Tables_number 123
_symmetry_space_group_name_Hall '-P 4 2'
loop_
_atom_site_label
_atom_site_type_symbol
_atom_site_fract_x
_atom_site_fract_y
_atom_site_fract_z
K1 K 0.0000 0.0000 0.0000
Tl1 Tl 0.0000 0.0000 0.2022
Tl2 Tl 0.0000 0.0000 0.4004
Pb1 Pb 0.0000 0.5000 0.1037
Pb2 Pb 0.0000 0.5000 0.3000
Pb3 Pb 0.0000 0.5000 0.5000
Pb4 Pb 0.5000 0.5000 0.0000
Pb5 Pb 0.5000 0.5000 0.2024
Pb6 Pb 0.5000 0.5000 0.4004
```

---

This entry pairs a crystal structure of KTlPb with its theoretical powder X-ray diffraction pattern. Radiation: a wavelength of 1.5418 Å. Structure: a crystal structure in Alexandria, relaxed with GGA-PBE.
Neutral-atom scattering factors, no anomalous dispersion.

Largest 8 diffraction maxima, in order of rising 2θ, 2θ from 15° to 90°:
19.90 deg, I 23.4, (0 1 1)
20.59 deg, I 23.6, (1 0 1)
26.88 deg, I 37.0, (1 1 1)
32.29 deg, I 100.0, (1 1 2)
34.58 deg, I 23.4, (0 2 0)
36.22 deg, I 20.6, (2 0 0)
39.85 deg, I 15.8, (1 1 3)
60.52 deg, I 16.9, (1 3 2)

```
data_KTlPb
_chemical_formula_sum 'K2 Tl2 Pb2'
_cell_length_a 4.9603
_cell_length_b 5.1879
_cell_length_c 8.7462
_cell_angle_alpha 90.00
_cell_angle_beta 90.00
_cell_angle_gamma 90.00
_symmetry_space_group_name_H-M 'P m m 2'
_symmetry_Int_Tables_number 25
loop_
_symmetry_equiv_pos_as_xyz
'x,y,z'
'-x,-y,z'
'-x,y,z'
'x,-y,z'
loop_
_atom_site_label
_atom_site_type_symbol
_atom_site_fract_x
_atom_site_fract_y
_atom_site_fract_z
K1 K 0.0000 0.0000 0.0000
K2 K 0.5000 0.5000 0.3351
Tl1 Tl 0.0000 0.5000 0.6649
Tl2 Tl 0.5000 0.5000 0.9072
Pb1 Pb 0.0000 0.0000 0.4385
Pb2 Pb 0.5000 0.0000 0.6704
```